# 1
Diffraction record for V5Cu. The powder diffractogram is simulated, not measured: it uses a crystal structure in Alexandria, relaxed with GGA-PBE and CuKα.
Lines closer than 0.1° are merged.

The 10 most intense peaks (10 to 90 degrees two-theta), sorted by position:
2theta  intensity  index
32.79  9  0 2 1
42.51  252  2 0 0
42.69  1000  1 3 1
44.58  213  0 6 0
60.62  80  0 0 2
63.29  135  2 6 0
76.84  74  2 0 2
77.92  143  3 3 1
78.30  69  0 6 2
80.81  122  1 9 1

Atomic structure:
```
data_V5Cu
_cell_length_a 4.253
_cell_length_b 12.196
_cell_length_c 3.055
_cell_angle_alpha 90.00
_cell_angle_beta 90.00
_cell_angle_gamma 90.00
_space_group_name_H-M_alt 'C m m m'
_space_group_IT_number 65
_space_group_name_Hall '-C 2 2'
loop_
_atom_site_label
_atom_site_type_symbol
_atom_site_fract_x
_atom_site_fract_y
_atom_site_fract_z
V1 V 0.000 0.000 0.000
V2 V 0.000 0.163 0.500
V3 V 0.000 0.327 0.000
Cu1 Cu 0.000 0.500 0.500
```

***

# 2
Diffraction record for CsNiHCl6. The powder diffractogram is simulated, not measured: it uses a crystal structure in Alexandria, relaxed with GGA-PBE and CuKα.
Lines closer than 0.1° are merged.

The 10 most intense peaks (10 to 90 degrees two-theta), sorted by position:
2theta  intensity  index
16.54  1000  0 1 1
17.81  745  1 0 1
19.54  306  1 1 0
23.12  415  0 1 -1
24.68  521  1 0 -1
27.79  509  0 2 1
28.95  375  0 2 0
35.31  415  2 2 2
37.61  375  -1 1 2
40.46  329  1 -2 1

Atomic structure:
```
data_CsNiHCl6
_cell_length_a 6.077
_cell_length_b 6.891
_cell_length_c 7.320
_cell_angle_alpha 65.83
_cell_angle_beta 66.05
_cell_angle_gamma 70.88
_space_group_name_H-M_alt 'P 1'
_space_group_IT_number 1
_space_group_name_Hall 'P 1'
loop_
_atom_site_label
_atom_site_type_symbol
_atom_site_fract_x
_atom_site_fract_y
_atom_site_fract_z
Cs1 Cs 0.000 0.000 0.000
Ni1 Ni 0.500 0.500 0.500
H1 H 0.002 0.499 0.499
Cl1 Cl 0.173 0.554 0.777
Cl2 Cl 0.269 0.413 0.378
Cl3 Cl 0.407 0.850 0.314
Cl4 Cl 0.593 0.150 0.686
Cl5 Cl 0.731 0.587 0.621
Cl6 Cl 0.826 0.446 0.222
```

***

# 3
Diffraction record for CePuZrGa. The powder diffractogram is simulated, not measured: it uses a crystal structure in Alexandria, relaxed with GGA-PBE and CuKα.
Lines closer than 0.1° are merged.

The 10 most intense peaks (10 to 90 degrees two-theta), sorted by position:
2theta  intensity  index
21.56  216  1 1 1
35.57  1000  2 2 0
41.98  123  3 1 1
51.19  178  4 0 0
56.17  55  3 3 1
63.89  365  4 2 2
68.27  42  5 1 1
75.31  113  4 4 0
79.42  43  5 3 1
86.16  163  6 2 0

Atomic structure:
```
data_CePuZrGa
_cell_length_a 7.138
_cell_length_b 7.138
_cell_length_c 7.138
_cell_angle_alpha 90.00
_cell_angle_beta 90.00
_cell_angle_gamma 90.00
_space_group_name_H-M_alt 'F -4 3 m'
_space_group_IT_number 216
_space_group_name_Hall 'F -4 2 3'
loop_
_atom_site_label
_atom_site_type_symbol
_atom_site_fract_x
_atom_site_fract_y
_atom_site_fract_z
Ce1 Ce 0.000 0.000 0.000
Pu1 Pu 0.250 0.250 0.250
Zr1 Zr 0.000 0.000 0.500
Ga1 Ga 0.250 0.250 0.750
```